# 1
Starting from a structure optimized by DFT (GGA+U), the powder diffraction line list of V3OF7 was simulated for Cu Kα X-rays.

Largest 6 diffraction maxima, low angle first, 10 to 90 degrees two-theta:
2theta	Rel. int.
21.21	88
22.83	100
24.71	43
29.24	42
44.50	28
45.05	39

a b c (Å): 7.985 7.985 9.973
angles (deg): 90.00 90.00 150.80
Atoms (fractional coordinates):
V1 0.040 0.960 0.750
V2 0.179 0.821 0.073
V3 0.179 0.821 0.427
V4 0.821 0.179 0.573
V5 0.821 0.179 0.927
V6 0.960 0.040 0.250
O1 0.207 0.793 0.250
O2 0.793 0.207 0.750
F1 0.053 0.947 0.114
F2 0.053 0.947 0.386
F3 0.134 0.866 0.616
F4 0.134 0.866 0.884
F5 0.301 0.699 0.534
F6 0.301 0.699 0.966
F7 0.462 0.538 0.250
F8 0.538 0.462 0.750
F9 0.699 0.301 0.034
F10 0.699 0.301 0.466
F11 0.866 0.134 0.116
F12 0.866 0.134 0.384
F13 0.947 0.053 0.614
F14 0.947 0.053 0.886



# 2
Starting from a structure optimized by DFT (GGA+U), the powder diffraction line list of V6O7F5 was simulated for Cu Kα X-rays.

Largest 6 diffraction maxima, low angle first, 10 to 90 degrees two-theta:
2theta	Rel. int.
26.08	100
27.45	100
34.71	98
39.30	27
51.83	47
53.37	43

a b c (Å): 4.722 5.636 7.767
angles (deg): 86.02 88.33 87.54
Atoms (fractional coordinates):
V1 0.000 0.000 0.000
V2 0.002 0.669 0.348
V3 0.495 0.506 0.013
V4 0.529 0.844 0.690
V5 0.555 0.195 0.343
V6 0.965 0.338 0.679
O1 0.308 0.463 0.248
O2 0.310 0.802 0.916
O3 0.694 0.884 0.440
O4 0.703 0.535 0.788
O5 0.711 0.207 0.117
O6 0.799 0.381 0.443
O7 0.811 0.040 0.778
F1 0.200 0.640 0.583
F2 0.203 0.300 0.903
F3 0.203 0.968 0.246
F4 0.309 0.150 0.575
F5 0.809 0.704 0.114



# 3
Starting from a structure optimized by DFT (GGA+U), the powder diffraction line list of WO2F was simulated for Cu Kα X-rays.

Largest 6 diffraction maxima, low angle first, 10 to 90 degrees two-theta:
2theta	Rel. int.
21.42	55
22.85	100
31.52	57
32.54	28
49.81	24
57.41	22

a b c (Å): 5.687 5.687 5.502
angles (deg): 118.89 118.89 57.91
Atoms (fractional coordinates):
W1 0.000 0.500 0.000
W2 0.500 0.000 0.500
O1 0.230 0.257 0.749
O2 0.257 0.230 0.249
O3 0.743 0.770 0.751
O4 0.770 0.743 0.251
F1 0.269 0.731 0.250
F2 0.731 0.269 0.750



# 4
Starting from a structure optimized by DFT (GGA+U), the powder diffraction line list of WOF4 was simulated for Cu Kα X-rays.

Largest 6 diffraction maxima, low angle first, 10 to 90 degrees two-theta:
2theta	Rel. int.
10.91	35
16.34	42
20.11	74
20.45	47
21.93	100
25.98	78

a b c (Å): 8.759 8.759 5.432
angles (deg): 91.77 91.77 112.11
Atoms (fractional coordinates):
W1 0.186 0.814 0.000
W2 0.239 0.239 0.767
W3 0.761 0.761 0.233
W4 0.814 0.186 0.000
O1 0.026 0.213 0.881
O2 0.213 0.026 0.881
O3 0.787 0.974 0.119
O4 0.974 0.787 0.119
F1 0.087 0.709 0.695
F2 0.143 0.143 0.455
F3 0.165 0.607 0.119
F4 0.265 0.448 0.652
F5 0.291 0.913 0.305
F6 0.341 0.341 0.072
F7 0.393 0.835 0.881
F8 0.448 0.265 0.652
F9 0.552 0.735 0.348
F10 0.607 0.165 0.119
F11 0.659 0.659 0.928
F12 0.709 0.087 0.695
F13 0.735 0.552 0.348
F14 0.835 0.393 0.881
F15 0.857 0.857 0.545
F16 0.913 0.291 0.305